[1]
Structure and simulated powder diffraction line list of MgZnCo4O8 (the GGA+U geometry in the Materials Project; λ = 1.5418 Å (Cu Kα)).

Top 10 peaks for 15° ≤ 2θ ≤ 90°, most intense first:
Position (°2θ), d [Å], I/Imax
23.13, 3.846, 100
32.99, 2.715, 85
37.20, 2.417, 57
28.48, 3.134, 52
35.36, 2.539, 47
51.44, 1.776, 40
35.48, 2.530, 40
54.24, 1.691, 39
37.55, 2.395, 38
38.08, 2.363, 34

Structural model:
```
MgZnCo4O8
1.0
2.9634 0.0000 0.0000
-1.4541 7.3508 0.0000
-1.4729 -2.9213 7.2322
Mg Zn Co O
1 1 4 8
direct
0.0000 0.0000 0.0000
0.9117 0.1352 0.6997
0.1821 0.7402 0.6285
0.3403 0.3042 0.3763
0.6324 0.9284 0.3210
0.7171 0.5661 0.9411
0.1355 0.4005 0.8992
0.3217 0.1402 0.5076
0.4064 0.0044 0.8143
0.6615 0.8103 0.5098
0.6731 0.1456 0.1977
0.7231 0.6907 0.7647
0.9717 0.4854 0.4594
0.9777 0.7972 0.1374
```

[2]
Structure and simulated powder diffraction line list of MgZnCo4O8 (the GGA+U geometry in the Materials Project; λ = 1.5418 Å (Cu Kα)).

Top 10 peaks for 15° ≤ 2θ ≤ 90°, most intense first:
Position (°2θ), d [Å], I/Imax
23.10, 3.850, 100
34.57, 2.595, 79
35.86, 2.504, 68
35.24, 2.547, 57
35.37, 2.538, 50
53.88, 1.701, 49
34.44, 2.604, 48
35.98, 2.496, 42
37.49, 2.399, 40
33.83, 2.650, 37

Structural model:
```
MgZnCo4O8
1.0
3.0385 0.0000 0.0000
-0.3473 7.7067 0.0000
-1.2064 -3.6038 6.7989
Mg Zn Co O
1 1 4 8
direct
0.0000 0.0000 0.0000
0.6586 0.4816 0.2909
0.2230 0.9671 0.5371
0.3267 0.5321 0.7035
0.5378 0.7632 0.1545
0.8960 0.2915 0.8994
0.0044 0.5547 0.0971
0.0989 0.9578 0.2630
0.3013 0.3100 0.7409
0.4420 0.7899 0.9143
0.5518 0.2212 0.0640
0.6447 0.7739 0.4133
0.7615 0.4956 0.5491
0.8163 0.0270 0.7305
```

[3]
Structure and simulated powder diffraction line list of MgZnCo4O8 (the GGA+U geometry in the Materials Project; λ = 1.5418 Å (Cu Kα)).

Top 10 peaks for 15° ≤ 2θ ≤ 90°, most intense first:
Position (°2θ), d [Å], I/Imax
29.30, 3.048, 100
36.17, 2.483, 73
27.34, 3.262, 70
25.48, 3.496, 58
33.27, 2.693, 53
35.01, 2.563, 48
18.03, 4.920, 47
60.52, 1.530, 45
36.40, 2.469, 43
25.80, 3.453, 41

Structural model:
```
MgZnCo4O8
1.0
2.9566 0.0000 0.0000
1.4534 6.9345 0.0000
1.3946 0.7007 7.6881
Mg Zn Co O
1 1 4 8
direct
0.0000 0.0000 0.0000
0.8355 0.9741 0.3530
0.0579 0.1955 0.6856
0.2787 0.4731 0.9894
0.5128 0.5253 0.3931
0.7500 0.7952 0.6934
0.2105 0.7129 0.8667
0.2274 0.9969 0.5387
0.4185 0.9934 0.1741
0.5447 0.3278 0.5762
0.5760 0.0484 0.7998
0.6950 0.4865 0.1675
0.8959 0.3251 0.8918
0.9234 0.6726 0.4629
```

[4]
Structure and simulated powder diffraction line list of Mn3NbCo2P6O24 (the GGA+U geometry in the Materials Project; λ = 1.5418 Å (Cu Kα)).

Top 10 peaks for 15° ≤ 2θ ≤ 90°, most intense first:
Position (°2θ), d [Å], I/Imax
20.51, 4.331, 100
24.23, 3.674, 91
33.09, 2.708, 71
35.91, 2.501, 42
47.43, 1.917, 34
49.63, 1.837, 27
56.19, 1.637, 26
62.76, 1.480, 20
56.65, 1.625, 17
20.78, 4.275, 16

Structural model:
```
Mn3NbCo2P6O24
1.0
4.3312 2.5006 6.9376
-4.3312 2.5006 6.9376
0.0000 -5.0012 6.9376
Mn Nb Co P O
3 1 2 6 24
direct
0.0000 0.0000 0.0000
0.2135 0.2135 0.2135
0.4989 0.4989 0.4989
0.7146 0.7146 0.7146
0.3566 0.3566 0.3566
0.8607 0.8607 0.8607
0.1139 0.3920 0.8127
0.3050 0.9023 0.6043
0.3920 0.8127 0.1139
0.6043 0.3050 0.9023
0.8127 0.1139 0.3920
0.9023 0.6043 0.3050
0.0464 0.2375 0.8494
0.0973 0.4469 0.2999
0.1140 0.9164 0.7707
0.1700 0.3630 0.9706
0.2375 0.8494 0.0464
0.2691 0.4133 0.6139
0.2999 0.0973 0.4469
0.3448 0.7417 0.5447
0.3630 0.9706 0.1700
0.4133 0.6139 0.2691
0.4469 0.2999 0.0973
0.4702 0.8510 0.6721
0.5447 0.3448 0.7417
0.5917 0.7935 0.9485
0.6139 0.2691 0.4133
0.6721 0.4702 0.8510
0.7417 0.5447 0.3448
0.7707 0.1140 0.9164
0.7935 0.9485 0.5917
0.8494 0.0464 0.2375
0.8510 0.6721 0.4702
0.9164 0.7707 0.1140
0.9485 0.5917 0.7935
0.9706 0.1700 0.3630
```

[5]
Structure and simulated powder diffraction line list of Nd2MnCoO6 (the GGA+U geometry in the Materials Project; λ = 1.5418 Å (Cu Kα)).

Top 10 peaks for 15° ≤ 2θ ≤ 90°, most intense first:
Position (°2θ), d [Å], I/Imax
32.47, 2.757, 100
58.40, 1.580, 33
32.86, 2.726, 25
46.34, 1.959, 22
31.75, 2.818, 20
52.88, 1.731, 16
46.82, 1.940, 15
22.69, 3.919, 15
25.46, 3.498, 15
67.99, 1.379, 11

Structural model:
```
Nd2MnCoO6
1.0
5.4519 0.0000 0.0000
0.0000 5.6363 0.0000
-5.4512 0.0000 7.7618
Nd Mn Co O
4 2 2 12
direct
0.2366 0.0568 0.2502
0.2366 0.4432 0.7502
0.7634 0.5568 0.2498
0.7634 0.9432 0.7498
0.0000 0.0000 0.5000
0.0000 0.5000 0.0000
0.5000 0.0000 0.0000
0.5000 0.5000 0.5000
0.1499 0.2149 0.9532
0.1499 0.2851 0.4532
0.2416 0.6988 0.9554
0.2416 0.8012 0.4554
0.3292 0.0221 0.7428
0.3292 0.4779 0.2428
0.6708 0.5221 0.7572
0.6708 0.9779 0.2572
0.7584 0.1988 0.5446
0.7584 0.3012 0.0446
0.8501 0.7149 0.5468
0.8501 0.7851 0.0468
```

[6]
Structure and simulated powder diffraction line list of Mn3Co2NiP6O24 (the GGA+U geometry in the Materials Project; λ = 1.5418 Å (Cu Kα)).

Top 10 peaks for 15° ≤ 2θ ≤ 90°, most intense first:
Position (°2θ), d [Å], I/Imax
24.52, 3.630, 100
20.72, 4.287, 96
33.56, 2.670, 69
36.30, 2.475, 42
48.11, 1.891, 36
56.82, 1.620, 26
50.26, 1.815, 26
63.56, 1.464, 20
25.52, 3.490, 19
57.43, 1.605, 18

Structural model:
```
Mn3Co2NiP6O24
1.0
4.2868 2.4750 6.8267
-4.2868 2.4750 6.8267
0.0000 -4.9500 6.8267
Mn Co Ni P O
3 2 1 6 24
direct
0.0000 0.0000 0.0000
0.2171 0.2171 0.2171
0.7160 0.7160 0.7160
0.3620 0.3620 0.3620
0.8583 0.8583 0.8583
0.5006 0.5006 0.5006
0.1070 0.8166 0.3981
0.3156 0.6078 0.9021
0.3981 0.1070 0.8166
0.6078 0.9021 0.3156
0.8166 0.3981 0.1070
0.9021 0.3156 0.6078
0.0385 0.8583 0.2396
0.1076 0.2984 0.4496
0.1144 0.7722 0.9207
0.1709 0.9748 0.3664
0.2396 0.0385 0.8583
0.2625 0.6159 0.4138
0.2984 0.4496 0.1076
0.3433 0.5444 0.7501
0.3664 0.1709 0.9748
0.4138 0.2625 0.6159
0.4496 0.1076 0.2984
0.4763 0.6688 0.8701
0.5444 0.7501 0.3433
0.5982 0.9436 0.8059
0.6159 0.4138 0.2625
0.6688 0.8701 0.4763
0.7501 0.3433 0.5444
0.7722 0.9207 0.1144
0.8059 0.5982 0.9436
0.8583 0.2396 0.0385
0.8701 0.4763 0.6688
0.9207 0.1143 0.7722
0.9436 0.8059 0.5982
0.9748 0.3664 0.1709
```

[7]
Structure and simulated powder diffraction line list of MnCo2O6 (the GGA+U geometry in the Materials Project; λ = 1.5418 Å (Cu Kα)).

Top 10 peaks for 15° ≤ 2θ ≤ 90°, most intense first:
Position (°2θ), d [Å], I/Imax
18.43, 4.814, 100
46.28, 1.962, 29
37.47, 2.400, 28
40.99, 2.202, 21
60.92, 1.521, 14
66.07, 1.414, 14
53.07, 1.726, 12
36.29, 2.475, 6
79.72, 1.203, 6
69.85, 1.347, 5

Structural model:
```
MnCo2O6
1.0
4.2953 -2.4752 0.0000
4.2953 2.4752 0.0000
0.0000 0.0000 9.6284
Mn Co O
2 4 12
direct
0.0000 0.0000 0.0000
0.5000 0.5000 0.5000
0.1667 0.1667 0.5000
0.3333 0.3333 0.0000
0.6667 0.6667 0.0000
0.8333 0.8333 0.5000
0.0000 0.3385 0.0988
0.0000 0.6615 0.9012
0.1611 0.8389 0.5988
0.1615 0.5000 0.4012
0.3385 0.0000 0.9012
0.3389 0.6611 0.0988
0.5000 0.1615 0.5988
0.5000 0.8385 0.4012
0.6611 0.3389 0.9012
0.6615 0.0000 0.0988
0.8385 0.5000 0.5988
0.8389 0.1611 0.4012
```

[8]
Structure and simulated powder diffraction line list of Mn2Co2O5 (the GGA+U geometry in the Materials Project; λ = 1.5418 Å (Cu Kα)).

Top 10 peaks for 15° ≤ 2θ ≤ 90°, most intense first:
Position (°2θ), d [Å], I/Imax
34.81, 2.577, 100
62.41, 1.488, 39
50.01, 1.824, 25
83.89, 1.153, 9
73.53, 1.288, 9
50.14, 1.819, 8
73.42, 1.290, 7
37.04, 2.427, 5
84.11, 1.151, 4
24.43, 3.643, 3

Structural model:
```
Mn2Co2O5
1.0
3.6479 0.0000 0.0000
0.0000 3.6479 0.0000
0.0000 0.0000 7.2769
Mn Co O
2 2 5
direct
0.0000 0.0000 0.0000
0.0000 0.0000 0.5000
0.5000 0.5000 0.2389
0.5000 0.5000 0.7611
0.0000 0.5000 0.1865
0.0000 0.5000 0.8135
0.5000 0.0000 0.1865
0.5000 0.0000 0.8135
0.5000 0.5000 0.5000
```